Diffraction record for Cd2TeSe. The PXRD pattern is theoretical, not measured: it uses DFT lattice parameters and positions (GGA-PBE) and λ = 1.5418 Å (Cu Kα).
Lines closer than 0.1° are merged.

Cell and atoms:
```
Cd2TeSe
1.0
2.0912 1.2074 6.9072
-2.0912 1.2074 6.9072
0.0000 -2.4147 6.9072
Cd Te Se
2 1 1
direct
0.2444 0.2444 0.2444 Cd
0.7556 0.7556 0.7556 Cd
0.0000 0.0000 0.0000 Te
0.5000 0.5000 0.5000 Se
```

Peak list (10 most intense, 2θ from 15° to 90°, in order of rising 2θ)
2theta	Rel. int.
30.10	100
42.93	36
43.26	37
53.03	6
53.61	19
62.58	11
70.76	15
71.25	16
79.13	12
79.36	6